# 1
Computed powder diffractogram of Li6MgNi12O26 for CuKα, from a PBE+U-relaxed structure.

Crystal structure
```
Li6MgNi12O26
1.0
7.486 0.000 0.000
0.453 7.669 0.000
2.055 1.562 7.708
Li Mg Ni O
6 1 12 26
Direct
0.000 0.000 0.000
0.030 0.380 0.384
0.450 0.321 0.328
0.490 0.704 0.702
0.585 0.074 0.068
0.909 0.638 0.637
0.059 0.389 0.892
0.131 0.773 0.272
0.207 0.161 0.659
0.288 0.540 0.046
0.357 0.932 0.428
0.441 0.309 0.812
0.516 0.695 0.200
0.591 0.082 0.580
0.672 0.457 0.971
0.746 0.849 0.352
0.825 0.232 0.734
0.901 0.619 0.123
0.976 0.001 0.505
0.044 0.359 0.649
0.057 0.425 0.130
0.111 0.757 0.052
0.134 0.800 0.497
0.207 0.139 0.432
0.226 0.174 0.878
0.294 0.568 0.272
0.303 0.517 0.818
0.358 0.954 0.652
0.362 0.899 0.201
0.421 0.296 0.588
0.460 0.316 0.039
0.512 0.730 0.426
0.518 0.660 0.975
0.568 0.070 0.357
0.599 0.107 0.803
0.669 0.440 0.743
0.671 0.489 0.196
0.737 0.825 0.128
0.752 0.857 0.576
0.817 0.247 0.962
0.827 0.204 0.509
0.882 0.598 0.901
0.923 0.633 0.347
0.976 0.968 0.265
0.983 0.037 0.745
```

Peak list (8 most intense, 2θ from 10° to 90°, low angle first)
2θ = 18.05°, intensity 100; 2θ = 36.94°, intensity 11; 2θ = 37.29°, intensity 10; 2θ = 37.43°, intensity 10; 2θ = 44.10°, intensity 17; 2θ = 44.46°, intensity 16; 2θ = 44.68°, intensity 16; 2θ = 63.09°, intensity 9

=====

# 2
Computed powder diffractogram of MgVCr2Fe3P6O24 for CuKα, from a PBE+U-relaxed structure.

Crystal structure
```
MgVCr2Fe3P6O24
1.0
8.602 0.000 0.000
0.126 8.661 0.000
4.257 4.245 6.240
Mg V Cr Fe P O
1 1 2 3 6 24
Direct
0.000 0.000 0.000
0.633 0.885 0.237
0.222 0.740 0.520
0.755 0.256 0.493
0.192 0.408 0.194
0.355 0.130 0.752
0.799 0.606 0.798
0.495 0.797 0.704
0.496 0.506 0.286
0.508 0.222 0.983
0.976 0.292 0.020
0.985 0.002 0.705
0.986 0.695 0.308
0.003 0.843 0.668
0.004 0.671 0.488
0.152 0.243 0.903
0.157 0.855 0.091
0.160 0.061 0.695
0.317 0.417 0.326
0.319 0.658 0.929
0.328 0.274 0.076
0.448 0.815 0.542
0.450 0.652 0.349
0.469 0.019 0.166
0.545 0.998 0.654
0.551 0.356 0.435
0.552 0.219 0.785
0.662 0.602 0.056
0.668 0.734 0.671
0.678 0.358 0.906
0.810 0.123 0.131
0.814 0.755 0.307
0.819 0.945 0.930
0.961 0.165 0.535
0.961 0.298 0.205
0.964 0.502 0.334
0.986 0.485 0.858
```

Peak list (8 most intense, 2θ from 10° to 90°, low angle first)
2θ = 20.47°, intensity 100; 2θ = 20.51°, intensity 46; 2θ = 23.60°, intensity 29; 2θ = 23.84°, intensity 51; 2θ = 24.23°, intensity 55; 2θ = 32.21°, intensity 29; 2θ = 35.88°, intensity 60; 2θ = 56.09°, intensity 24

=====

# 3
Computed powder diffractogram of V3O5F for CuKα, from a PBE+U-relaxed structure.

Crystal structure
```
V3O5F
1.0
4.656 0.000 0.000
0.111 5.555 0.000
0.095 0.716 7.467
V O F
6 10 2
Direct
0.000 0.000 0.000
0.016 0.354 0.664
0.481 0.822 0.659
0.500 0.500 0.000
0.519 0.178 0.341
0.984 0.646 0.336
0.201 0.306 0.899
0.203 0.639 0.562
0.302 0.134 0.562
0.303 0.459 0.238
0.309 0.805 0.891
0.691 0.195 0.109
0.697 0.541 0.762
0.698 0.866 0.438
0.797 0.361 0.438
0.799 0.694 0.101
0.203 0.961 0.240
0.797 0.039 0.760
```

Peak list (8 most intense, 2θ from 10° to 90°, low angle first)
2θ = 26.76°, intensity 93; 2θ = 27.38°, intensity 100; 2θ = 35.69°, intensity 24; 2θ = 35.90°, intensity 47; 2θ = 36.09°, intensity 23; 2θ = 53.67°, intensity 28; 2θ = 62.64°, intensity 25; 2θ = 68.21°, intensity 20

=====

# 4
Computed powder diffractogram of Li2Cr3SbO8 for CuKα, from a PBE+U-relaxed structure.

Crystal structure
```
Li2Cr3SbO8
1.0
5.202 -2.996 0.000
5.202 2.996 0.000
-3.472 0.000 5.004
Li Cr Sb O
2 3 1 8
Direct
0.131 0.131 0.392
0.869 0.869 0.608
0.500 0.001 0.000
0.501 0.499 0.000
0.999 0.500 0.000
0.500 0.500 0.500
0.263 0.715 0.242
0.264 0.264 0.244
0.264 0.266 0.795
0.285 0.737 0.758
0.717 0.264 0.244
0.734 0.736 0.205
0.736 0.283 0.756
0.736 0.736 0.756
```

Peak list (8 most intense, 2θ from 10° to 90°, low angle first)
2θ = 18.07°, intensity 100; 2θ = 34.50°, intensity 18; 2θ = 34.87°, intensity 34; 2θ = 36.60°, intensity 11; 2θ = 42.31°, intensity 48; 2θ = 55.95°, intensity 12; 2θ = 60.90°, intensity 15; 2θ = 61.81°, intensity 10

=====

# 5
Computed powder diffractogram of Mn2PO5 for CuKα, from a PBE+U-relaxed structure.

Crystal structure
```
Mn2PO5
1.0
8.180 0.000 0.000
0.000 6.270 0.000
0.000 0.000 7.848
Mn P O
8 4 20
Direct
0.000 0.000 0.000
0.000 0.500 0.000
0.156 0.250 0.370
0.344 0.750 0.870
0.500 0.000 0.500
0.500 0.500 0.500
0.656 0.250 0.130
0.844 0.750 0.630
0.172 0.750 0.340
0.328 0.250 0.840
0.672 0.750 0.160
0.828 0.250 0.660
0.021 0.750 0.451
0.041 0.250 0.139
0.123 0.750 0.147
0.222 0.046 0.870
0.222 0.454 0.870
0.278 0.546 0.370
0.278 0.954 0.370
0.377 0.250 0.647
0.459 0.750 0.639
0.479 0.250 0.951
0.521 0.750 0.049
0.541 0.250 0.361
0.623 0.750 0.353
0.722 0.046 0.630
0.722 0.454 0.630
0.778 0.546 0.130
0.778 0.954 0.130
0.877 0.250 0.853
0.959 0.750 0.861
0.979 0.250 0.549
```

Peak list (8 most intense, 2θ from 10° to 90°, low angle first)
2θ = 15.65°, intensity 41; 2θ = 24.54°, intensity 69; 2θ = 25.17°, intensity 100; 2θ = 31.60°, intensity 39; 2θ = 32.65°, intensity 90; 2θ = 34.83°, intensity 36; 2θ = 37.93°, intensity 58; 2θ = 56.94°, intensity 46

=====

# 6
Computed powder diffractogram of NaVO2F2 for CuKα, from a PBE+U-relaxed structure.

Crystal structure
```
NaVO2F2
1.0
6.563 0.000 0.000
0.000 3.576 0.000
-2.510 0.000 6.878
Na V O F
2 2 4 4
Direct
0.135 0.000 0.215
0.865 0.500 0.785
0.361 0.030 0.785
0.639 0.530 0.215
0.215 0.037 0.557
0.405 0.513 0.860
0.595 0.013 0.140
0.785 0.537 0.443
0.121 0.002 0.883
0.363 0.501 0.243
0.637 0.001 0.757
0.879 0.502 0.117
```

Peak list (8 most intense, 2θ from 10° to 90°, low angle first)
2θ = 12.87°, intensity 63; 2θ = 14.37°, intensity 47; 2θ = 15.67°, intensity 66; 2θ = 25.91°, intensity 93; 2θ = 27.35°, intensity 59; 2θ = 28.13°, intensity 69; 2θ = 28.87°, intensity 100; 2θ = 53.71°, intensity 49

=====

# 7
Computed powder diffractogram of Li9Mn2Co5O16 for CuKα, from a PBE+U-relaxed structure.

Crystal structure
```
Li9Mn2Co5O16
1.0
4.905 -1.444 0.000
4.905 1.444 0.000
-3.085 0.000 20.506
Li Mn Co O
9 2 5 16
Direct
0.000 0.000 0.000
0.247 0.247 0.181
0.249 0.249 0.687
0.250 0.250 0.441
0.264 0.264 0.945
0.736 0.736 0.055
0.750 0.750 0.559
0.751 0.751 0.313
0.753 0.753 0.819
0.001 0.001 0.751
0.999 0.999 0.249
0.000 0.000 0.500
0.488 0.488 0.113
0.500 0.500 0.376
0.500 0.500 0.624
0.512 0.512 0.887
0.106 0.106 0.340
0.106 0.106 0.836
0.114 0.114 0.098
0.114 0.114 0.595
0.375 0.375 0.038
0.383 0.383 0.530
0.386 0.386 0.277
0.387 0.387 0.775
0.613 0.613 0.225
0.614 0.614 0.723
0.617 0.617 0.470
0.625 0.625 0.962
0.886 0.886 0.405
0.886 0.886 0.902
0.894 0.894 0.164
0.894 0.894 0.660
```

Peak list (8 most intense, 2θ from 10° to 90°, low angle first)
2θ = 18.29°, intensity 100; 2θ = 35.01°, intensity 14; 2θ = 36.22°, intensity 25; 2θ = 42.26°, intensity 28; 2θ = 43.95°, intensity 54; 2θ = 57.86°, intensity 10; 2θ = 62.55°, intensity 15; 2θ = 62.67°, intensity 14

=====

# 8
Computed powder diffractogram of Li3Mn2CoO6 for CuKα, from a PBE+U-relaxed structure.

Crystal structure
```
Li3Mn2CoO6
1.0
3.003 0.000 0.000
-1.500 6.351 0.000
-0.025 -2.851 11.690
Li Mn Co O
6 4 2 12
Direct
0.000 0.001 0.251
0.000 0.999 0.749
0.335 0.671 0.579
0.337 0.674 0.085
0.663 0.326 0.915
0.665 0.329 0.421
0.332 0.664 0.835
0.336 0.671 0.335
0.664 0.329 0.665
0.668 0.336 0.165
0.000 0.000 0.000
0.000 0.000 0.500
0.169 0.337 0.552
0.170 0.340 0.055
0.173 0.348 0.789
0.175 0.349 0.282
0.487 0.974 0.875
0.489 0.978 0.374
0.511 0.022 0.626
0.513 0.026 0.125
0.825 0.651 0.718
0.827 0.652 0.211
0.830 0.660 0.945
0.831 0.663 0.448
```

Peak list (8 most intense, 2θ from 10° to 90°, low angle first)
2θ = 18.27°, intensity 100; 2θ = 35.14°, intensity 29; 2θ = 35.99°, intensity 13; 2θ = 37.04°, intensity 18; 2θ = 42.54°, intensity 56; 2θ = 44.03°, intensity 24; 2θ = 47.37°, intensity 9; 2θ = 62.88°, intensity 28

=====

# 9
Computed powder diffractogram of Li4Cr3NiO8 for CuKα, from a PBE+U-relaxed structure.

Crystal structure
```
Li4Cr3NiO8
1.0
5.110 -2.951 0.000
5.110 2.951 0.000
-3.402 0.000 4.854
Li Cr Ni O
4 3 1 8
Direct
0.000 0.000 0.000
0.000 0.500 0.000
0.500 0.000 0.000
0.500 0.500 0.000
0.000 0.000 0.500
0.000 0.500 0.500
0.500 0.000 0.500
0.500 0.500 0.500
0.242 0.242 0.728
0.244 0.739 0.724
0.253 0.253 0.271
0.261 0.756 0.276
0.739 0.244 0.724
0.747 0.747 0.729
0.756 0.261 0.276
0.758 0.758 0.272
```

Peak list (8 most intense, 2θ from 10° to 90°, low angle first)
2θ = 18.28°, intensity 100; 2θ = 35.68°, intensity 41; 2θ = 43.26°, intensity 80; 2θ = 47.33°, intensity 13; 2θ = 57.10°, intensity 14; 2θ = 62.67°, intensity 21; 2θ = 63.01°, intensity 22; 2θ = 66.21°, intensity 14